No. 1
Theoretical X-ray diffraction stick pattern of CdI2 for Cu Ka, from a cell relaxed with PBE.

Principal peaks in the range 10 to 90 degrees two-theta, sorted by position:
two_theta	I/Imax
12.01	54
24.43	14
26.62	100
29.93	49
34.07	22
38.82	28
41.60	52
43.46	13
44.04	26
50.08	17
66.58	23
67.08	14

Atomic structure:
```
data_CdI2
_symmetry_space_group_name_H-M 'P 1'
_symmetry_Int_Tables_number 1
_symmetry_space_group_name_Hall 'P 1'
_cell_length_a 4.3415
_cell_length_b 4.3415
_cell_length_c 103.1535
_cell_angle_alpha 90.00
_cell_angle_beta 90.00
_cell_angle_gamma 120.00
loop_
_atom_site_label
_atom_site_fract_x
_atom_site_fract_y
_atom_site_fract_z
Cd1 0.0000 0.0000 0.0000
Cd2 0.0000 0.0000 0.0714
Cd3 0.0000 0.0000 0.1429
Cd4 0.0000 0.0000 0.2857
Cd5 0.0000 0.0000 0.4286
Cd6 0.0000 0.0000 0.5714
Cd7 0.0000 0.0000 0.7143
Cd8 0.0000 0.0000 0.8571
Cd9 0.6667 0.3333 0.2143
Cd10 0.6667 0.3333 0.3571
Cd11 0.6667 0.3333 0.5000
Cd12 0.6667 0.3333 0.6429
Cd13 0.6667 0.3333 0.7857
Cd14 0.6667 0.3333 0.9286
I1 0.0000 0.0000 0.1976
I2 0.0000 0.0000 0.3404
I3 0.0000 0.0000 0.4832
I4 0.0000 0.0000 0.6261
I5 0.0000 0.0000 0.7690
I6 0.0000 0.0000 0.9118
I7 0.3333 0.6667 0.0168
I8 0.3333 0.6667 0.0882
I9 0.3333 0.6667 0.1596
I10 0.3333 0.6667 0.2310
I11 0.3333 0.6667 0.3025
I12 0.3333 0.6667 0.3739
I13 0.3333 0.6667 0.4453
I14 0.3333 0.6667 0.5168
I15 0.3333 0.6667 0.5882
I16 0.3333 0.6667 0.6596
I17 0.3333 0.6667 0.7310
I18 0.3333 0.6667 0.8025
I19 0.3333 0.6667 0.8739
I20 0.3333 0.6667 0.9453
I21 0.6667 0.3333 0.0547
I22 0.6667 0.3333 0.1261
I23 0.6667 0.3333 0.2690
I24 0.6667 0.3333 0.4118
I25 0.6667 0.3333 0.5547
I26 0.6667 0.3333 0.6975
I27 0.6667 0.3333 0.8404
I28 0.6667 0.3333 0.9833
```

No. 2
Theoretical X-ray diffraction stick pattern of CdI2 for Cu Ka, from a cell relaxed with PBE.

Principal peaks in the range 10 to 90 degrees two-theta, sorted by position:
two_theta	I/Imax
12.06	30
26.63	100
28.74	19
29.96	20
32.67	14
34.14	19
38.92	13
41.57	51
44.17	20
50.05	17
66.75	17
67.04	14

Atomic structure:
```
data_CdI2
_symmetry_space_group_name_H-M 'P 1'
_symmetry_Int_Tables_number 1
_symmetry_space_group_name_Hall 'P 1'
_cell_length_a 4.3446
_cell_length_b 4.3446
_cell_length_c 44.0161
_cell_angle_alpha 90.00
_cell_angle_beta 90.00
_cell_angle_gamma 120.00
loop_
_atom_site_label
_atom_site_fract_x
_atom_site_fract_y
_atom_site_fract_z
Cd1 0.0000 0.0000 0.0000
Cd2 0.0000 0.0000 0.1670
Cd3 0.0000 0.0000 0.3336
Cd4 0.0000 0.0000 0.6624
Cd5 0.3333 0.6667 0.4995
Cd6 0.6667 0.3333 0.7578
I1 0.0000 0.0000 0.5389
I2 0.0000 0.0000 0.7928
I3 0.3333 0.6667 0.0394
I4 0.3333 0.6667 0.2065
I5 0.3333 0.6667 0.3730
I6 0.3333 0.6667 0.7079
I7 0.3333 0.6667 0.8617
I8 0.6667 0.3333 0.1285
I9 0.6667 0.3333 0.2952
I10 0.6667 0.3333 0.4610
I11 0.6667 0.3333 0.6247
I12 0.6667 0.3333 0.9615
```

No. 3
Theoretical X-ray diffraction stick pattern of CdI2 for Cu Ka, from a cell relaxed with PBE.

Principal peaks in the range 10 to 90 degrees two-theta, sorted by position:
two_theta	I/Imax
11.94	56
24.47	10
26.63	100
29.90	37
34.00	25
38.71	22
41.69	51
43.52	14
43.87	26
50.16	17
66.38	22
67.21	14

Atomic structure:
```
data_CdI2
_symmetry_space_group_name_H-M 'P 1'
_symmetry_Int_Tables_number 1
_symmetry_space_group_name_Hall 'P 1'
_cell_length_a 4.3327
_cell_length_b 4.3327
_cell_length_c 59.2996
_cell_angle_alpha 90.00
_cell_angle_beta 90.00
_cell_angle_gamma 120.00
loop_
_atom_site_label
_atom_site_fract_x
_atom_site_fract_y
_atom_site_fract_z
Cd1 0.0000 0.0000 0.0000
Cd2 0.0000 0.0000 0.1250
Cd3 0.0000 0.0000 0.2500
Cd4 0.0000 0.0000 0.5000
Cd5 0.0000 0.0000 0.7500
Cd6 0.6667 0.3333 0.3751
Cd7 0.6667 0.3333 0.6251
Cd8 0.6667 0.3333 0.8751
I1 0.0000 0.0000 0.3460
I2 0.0000 0.0000 0.5960
I3 0.0000 0.0000 0.8460
I4 0.3333 0.6667 0.0291
I5 0.3333 0.6667 0.1541
I6 0.3333 0.6667 0.2791
I7 0.3333 0.6667 0.4042
I8 0.3333 0.6667 0.5291
I9 0.3333 0.6667 0.6542
I10 0.3333 0.6667 0.7791
I11 0.3333 0.6667 0.9041
I12 0.6667 0.3333 0.0959
I13 0.6667 0.3333 0.2209
I14 0.6667 0.3333 0.4709
I15 0.6667 0.3333 0.7209
I16 0.6667 0.3333 0.9709
```

No. 4
Theoretical X-ray diffraction stick pattern of CdI2 for Cu Ka, from a cell relaxed with PBE.

Principal peaks in the range 10 to 90 degrees two-theta, sorted by position:
two_theta	I/Imax
11.56	69
26.44	100
28.96	13
30.14	13
33.43	30
41.67	50
42.85	27
43.39	16
50.03	18
65.01	20
67.08	14
76.09	19

Atomic structure:
```
data_CdI2
_symmetry_space_group_name_H-M 'P 1'
_symmetry_Int_Tables_number 1
_symmetry_space_group_name_Hall 'P 1'
_cell_length_a 4.3350
_cell_length_b 4.3350
_cell_length_c 91.8721
_cell_angle_alpha 90.00
_cell_angle_beta 90.00
_cell_angle_gamma 120.00
loop_
_atom_site_label
_atom_site_fract_x
_atom_site_fract_y
_atom_site_fract_z
Cd1 0.0000 0.0000 0.0000
Cd2 0.0000 0.0000 0.0833
Cd3 0.0000 0.0000 0.1667
Cd4 0.0000 0.0000 0.3333
Cd5 0.0000 0.0000 0.4167
Cd6 0.0000 0.0000 0.5833
Cd7 0.0000 0.0000 0.7500
Cd8 0.0000 0.0000 0.8333
Cd9 0.6667 0.3333 0.2500
Cd10 0.6667 0.3333 0.5000
Cd11 0.6667 0.3333 0.6667
Cd12 0.6667 0.3333 0.9167
I1 0.0000 0.0000 0.2312
I2 0.0000 0.0000 0.4813
I3 0.0000 0.0000 0.6479
I4 0.0000 0.0000 0.8979
I5 0.3333 0.6667 0.0187
I6 0.3333 0.6667 0.1021
I7 0.3333 0.6667 0.1854
I8 0.3333 0.6667 0.2687
I9 0.3333 0.6667 0.3521
I10 0.3333 0.6667 0.4354
I11 0.3333 0.6667 0.5188
I12 0.3333 0.6667 0.6021
I13 0.3333 0.6667 0.6854
I14 0.3333 0.6667 0.7687
I15 0.3333 0.6667 0.8521
I16 0.3333 0.6667 0.9354
I17 0.6667 0.3333 0.0646
I18 0.6667 0.3333 0.1479
I19 0.6667 0.3333 0.3146
I20 0.6667 0.3333 0.3979
I21 0.6667 0.3333 0.5646
I22 0.6667 0.3333 0.7312
I23 0.6667 0.3333 0.8146
I24 0.6667 0.3333 0.9813
```

No. 5
Theoretical X-ray diffraction stick pattern of CdI2 for Cu Ka, from a cell relaxed with PBE.

Principal peaks in the range 10 to 90 degrees two-theta, sorted by position:
two_theta	I/Imax
11.95	48
26.63	100
30.67	9
34.02	37
41.69	44
43.52	12
43.91	27
50.15	17
62.15	10
66.43	19
67.20	14
77.64	10

Atomic structure:
```
data_CdI2
_symmetry_space_group_name_H-M 'P 1'
_symmetry_Int_Tables_number 1
_symmetry_space_group_name_Hall 'P 1'
_cell_length_a 4.3334
_cell_length_b 4.3334
_cell_length_c 37.0166
_cell_angle_alpha 90.00
_cell_angle_beta 90.00
_cell_angle_gamma 120.00
loop_
_atom_site_label
_atom_site_fract_x
_atom_site_fract_y
_atom_site_fract_z
Cd1 0.0000 0.0000 0.0000
Cd2 0.0000 0.0000 0.2000
Cd3 0.0000 0.0000 0.4001
Cd4 0.0000 0.0000 0.6001
Cd5 0.3333 0.6667 0.8001
I1 0.0000 0.0000 0.8467
I2 0.3333 0.6667 0.0466
I3 0.3333 0.6667 0.2467
I4 0.3333 0.6667 0.4467
I5 0.3333 0.6667 0.6467
I6 0.6667 0.3333 0.1534
I7 0.6667 0.3333 0.3535
I8 0.6667 0.3333 0.5534
I9 0.6667 0.3333 0.7535
I10 0.6667 0.3333 0.9534
```

No. 6
Theoretical X-ray diffraction stick pattern of CdI2 for Cu Ka, from a cell relaxed with PBE.

Principal peaks in the range 10 to 90 degrees two-theta, sorted by position:
two_theta	I/Imax
12.12	35
26.64	100
34.22	53
41.55	35
43.44	9
44.32	28
50.03	23
54.88	13
62.37	10
66.98	29
71.12	12
77.75	11

Atomic structure:
```
data_CdI2
_symmetry_space_group_name_H-M 'P 1'
_symmetry_Int_Tables_number 1
_symmetry_space_group_name_Hall 'P 1'
_cell_length_a 4.3469
_cell_length_b 4.3469
_cell_length_c 7.3002
_cell_angle_alpha 90.00
_cell_angle_beta 90.00
_cell_angle_gamma 120.00
loop_
_atom_site_label
_atom_site_fract_x
_atom_site_fract_y
_atom_site_fract_z
Cd1 0.0000 0.0000 0.0000
I1 0.3333 0.6667 0.7649
I2 0.6667 0.3333 0.2351
```

No. 7
Theoretical X-ray diffraction stick pattern of CdI2 for Cu Ka, from a cell relaxed with PBE.

Principal peaks in the range 10 to 90 degrees two-theta, sorted by position:
two_theta	I/Imax
11.30	92
26.32	100
29.04	28
29.57	19
33.06	27
37.04	16
37.75	17
41.66	58
42.17	25
43.31	20
49.95	17
64.10	21

Atomic structure:
```
data_CdI2
_symmetry_space_group_name_H-M 'P 1'
_symmetry_Int_Tables_number 1
_symmetry_space_group_name_Hall 'P 1'
_cell_length_a 4.3359
_cell_length_b 4.3359
_cell_length_c 101.7649
_cell_angle_alpha 90.00
_cell_angle_beta 90.00
_cell_angle_gamma 120.00
loop_
_atom_site_label
_atom_site_fract_x
_atom_site_fract_y
_atom_site_fract_z
Cd1 0.0000 0.0000 0.0000
Cd2 0.0000 0.0000 0.0770
Cd3 0.0000 0.0000 0.1539
Cd4 0.0000 0.0000 0.2309
Cd5 0.0000 0.0000 0.3847
Cd6 0.0000 0.0000 0.5385
Cd7 0.0000 0.0000 0.6923
Cd8 0.0000 0.0000 0.8462
Cd9 0.3333 0.6667 0.3078
Cd10 0.6667 0.3333 0.4615
Cd11 0.6667 0.3333 0.6155
Cd12 0.6667 0.3333 0.7693
Cd13 0.6667 0.3333 0.9231
I1 0.0000 0.0000 0.3247
I2 0.0000 0.0000 0.4446
I3 0.0000 0.0000 0.5986
I4 0.0000 0.0000 0.7523
I5 0.0000 0.0000 0.9062
I6 0.3333 0.6667 0.0169
I7 0.3333 0.6667 0.0939
I8 0.3333 0.6667 0.1708
I9 0.3333 0.6667 0.2478
I10 0.3333 0.6667 0.4017
I11 0.3333 0.6667 0.4784
I12 0.3333 0.6667 0.5554
I13 0.3333 0.6667 0.6325
I14 0.3333 0.6667 0.7092
I15 0.3333 0.6667 0.7862
I16 0.3333 0.6667 0.8631
I17 0.3333 0.6667 0.9400
I18 0.6667 0.3333 0.0601
I19 0.6667 0.3333 0.1370
I20 0.6667 0.3333 0.2140
I21 0.6667 0.3333 0.2908
I22 0.6667 0.3333 0.3678
I23 0.6667 0.3333 0.5216
I24 0.6667 0.3333 0.6754
I25 0.6667 0.3333 0.8292
I26 0.6667 0.3333 0.9831
```

No. 8
Theoretical X-ray diffraction stick pattern of CdI2 for Cu Ka, from a cell relaxed with PBE.

Principal peaks in the range 10 to 90 degrees two-theta, sorted by position:
two_theta	I/Imax
11.83	54
26.57	100
29.58	11
30.01	11
33.83	35
41.68	46
43.47	13
43.58	28
50.11	17
65.98	20
67.15	14
77.38	12

Atomic structure:
```
data_CdI2
_symmetry_space_group_name_H-M 'P 1'
_symmetry_Int_Tables_number 1
_symmetry_space_group_name_Hall 'P 1'
_cell_length_a 4.3344
_cell_length_b 4.3344
_cell_length_c 127.1544
_cell_angle_alpha 90.00
_cell_angle_beta 90.00
_cell_angle_gamma 120.00
loop_
_atom_site_label
_atom_site_fract_x
_atom_site_fract_y
_atom_site_fract_z
Cd1 0.0000 0.0000 0.0000
Cd2 0.0000 0.0000 0.0588
Cd3 0.0000 0.0000 0.1177
Cd4 0.0000 0.0000 0.1765
Cd5 0.0000 0.0000 0.2353
Cd6 0.0000 0.0000 0.2941
Cd7 0.0000 0.0000 0.3529
Cd8 0.0000 0.0000 0.4118
Cd9 0.0000 0.0000 0.4706
Cd10 0.0000 0.0000 0.5294
Cd11 0.0000 0.0000 0.6471
Cd12 0.0000 0.0000 0.7647
Cd13 0.0000 0.0000 0.8823
Cd14 0.6667 0.3333 0.5883
Cd15 0.6667 0.3333 0.7059
Cd16 0.6667 0.3333 0.8235
Cd17 0.6667 0.3333 0.9412
I1 0.0000 0.0000 0.5747
I2 0.0000 0.0000 0.6923
I3 0.0000 0.0000 0.8100
I4 0.0000 0.0000 0.9276
I5 0.3333 0.6667 0.0136
I6 0.3333 0.6667 0.0724
I7 0.3333 0.6667 0.1312
I8 0.3333 0.6667 0.1901
I9 0.3333 0.6667 0.2489
I10 0.3333 0.6667 0.3077
I11 0.3333 0.6667 0.3665
I12 0.3333 0.6667 0.4253
I13 0.3333 0.6667 0.4841
I14 0.3333 0.6667 0.5430
I15 0.3333 0.6667 0.6018
I16 0.3333 0.6667 0.6606
I17 0.3333 0.6667 0.7195
I18 0.3333 0.6667 0.7783
I19 0.3333 0.6667 0.8371
I20 0.3333 0.6667 0.8959
I21 0.3333 0.6667 0.9548
I22 0.6667 0.3333 0.0452
I23 0.6667 0.3333 0.1041
I24 0.6667 0.3333 0.1629
I25 0.6667 0.3333 0.2217
I26 0.6667 0.3333 0.2805
I27 0.6667 0.3333 0.3394
I28 0.6667 0.3333 0.3982
I29 0.6667 0.3333 0.4570
I30 0.6667 0.3333 0.5158
I31 0.6667 0.3333 0.6335
I32 0.6667 0.3333 0.7511
I33 0.6667 0.3333 0.8688
I34 0.6667 0.3333 0.9864
```

No. 9
Theoretical X-ray diffraction stick pattern of CdI2 for Cu Ka, from a cell relaxed with PBE.

Principal peaks in the range 10 to 90 degrees two-theta, sorted by position:
two_theta	I/Imax
12.18	90
24.48	27
26.23	74
26.99	100
30.26	36
31.33	28
33.04	25
41.41	96
43.33	23
43.69	26
50.17	34
67.03	56

Atomic structure:
```
data_CdI2
_symmetry_space_group_name_H-M 'P 1'
_symmetry_Int_Tables_number 1
_symmetry_space_group_name_Hall 'P 1'
_cell_length_a 36.4277
_cell_length_b 36.4277
_cell_length_c 36.4277
_cell_angle_alpha 6.86
_cell_angle_beta 6.86
_cell_angle_gamma 6.86
loop_
_atom_site_label
_atom_site_fract_x
_atom_site_fract_y
_atom_site_fract_z
Cd1 0.0000 0.0000 0.0000
Cd2 0.0667 0.0667 0.0667
Cd3 0.4667 0.4667 0.4667
Cd4 0.6000 0.6000 0.6000
Cd5 0.8666 0.8666 0.8666
I1 0.1176 0.1176 0.1176
I2 0.1842 0.1842 0.1842
I3 0.2509 0.2509 0.2509
I4 0.3176 0.3176 0.3176
I5 0.3842 0.3842 0.3842
I6 0.5491 0.5491 0.5491
I7 0.6824 0.6824 0.6824
I8 0.7491 0.7491 0.7491
I9 0.8158 0.8158 0.8158
I10 0.9491 0.9491 0.9491
```

Q: Number 6 is which compound?
A: CdI2